For NaCu4Sb2, a GGA-PBE-relaxed structure gives the theoretical X-ray powder pattern in this record (Cu Kα).
Neutral-atom scattering factors, no anomalous dispersion.

Peak list (12 most intense, 2θ = 10–90°, by angle)
2θ (°), I (rel.), h k l
10.50, 100.0, 0 0 3
21.09, 20.0, 0 0 6
25.02, 23.0, 0 1 2
27.89, 31.4, 1 0 4
34.67, 31.2, 1 0 7
37.39, 25.1, 0 1 8
42.20, 90.8, 1 1 0
43.32, 65.4, 1 0 10
43.61, 18.7, 1 1 3
62.08, 21.4, 0 2 10
77.15, 14.0, 3 0 0
77.93, 21.5, 2 1 10

Structural model:
```
data_NaCu4Sb2
_chemical_formula_sum 'Na3 Cu12 Sb6'
_cell_length_a 4.2830
_cell_length_b 4.2830
_cell_length_c 25.2710
_cell_angle_alpha 90.00
_cell_angle_beta 90.00
_cell_angle_gamma 120.00
_space_group_name_H-M_alt 'R -3 m'
_space_group_IT_number 166
_space_group_name_Hall '-R 3 2"'
loop_
_atom_site_label
_atom_site_type_symbol
_atom_site_fract_x
_atom_site_fract_y
_atom_site_fract_z
_atom_site_occupancy
Na1 Na 0.0000 0.0000 0.0000 1
Cu1 Cu 0.0000 0.0000 0.1425 1
Cu2 Cu 0.0000 0.0000 0.4494 1
Sb1 Sb 0.0000 0.0000 0.2494 1
```



For SrZn11, a GGA-PBE-relaxed structure gives the theoretical X-ray powder pattern in this record (Cu Kα).
Neutral-atom scattering factors, no anomalous dispersion.

Peak list (12 most intense, 2θ = 10–90°, by angle)
2θ (°), I (rel.), h k l
32.61, 35.7, 3 2 1
37.05, 99.3, 3 1 2
37.27, 81.2, 4 2 0
40.07, 36.4, 1 0 3
42.54, 23.7, 4 0 2
43.58, 32.5, 2 1 3
43.96, 100.0, 5 0 1
45.89, 46.7, 4 2 2
67.06, 31.4, 5 5 2
71.86, 13.1, 7 4 1
75.30, 13.2, 5 3 4
79.45, 17.5, 8 4 0

Structural model:
```
data_SrZn11
_chemical_formula_sum 'Sr4 Zn44'
_cell_length_a 10.790
_cell_length_b 10.790
_cell_length_c 6.903
_cell_angle_alpha 90.00
_cell_angle_beta 90.00
_cell_angle_gamma 90.00
_space_group_name_H-M_alt 'I 41/a m d'
_space_group_IT_number 141
loop_
_space_group_symop_operation_xyz
'x,y,z'
'-x,-y,-z'
'-y+1/4,x+3/4,z+1/4'
'y+1/4,-x+3/4,-z+1/4'
'-x+1/2,-y,z+1/2'
'x+1/2,y,-z+1/2'
'y+1/4,-x+1/4,z+3/4'
'-y+1/4,x+1/4,-z+3/4'
'x,-y,-z'
'-x,y,z'
'-y+1/4,-x+1/4,-z+3/4'
'y+1/4,x+1/4,z+3/4'
'-x+1/2,y,-z+1/2'
'x+1/2,-y,z+1/2'
'y+1/4,x+3/4,-z+1/4'
'-y+1/4,-x+3/4,z+1/4'
'x+1/2,y+1/2,z+1/2'
'-x+1/2,-y+1/2,-z+1/2'
'-y+3/4,x+1/4,z+3/4'
'y+3/4,-x+1/4,-z+3/4'
'-x,-y+1/2,z'
'x,y+1/2,-z'
'y+3/4,-x+3/4,z+1/4'
'-y+3/4,x+3/4,-z+1/4'
'x+1/2,-y+1/2,-z+1/2'
'-x+1/2,y+1/2,z+1/2'
'-y+3/4,-x+3/4,-z+1/4'
'y+3/4,x+3/4,z+1/4'
'-x,y+1/2,-z'
'x,-y+1/2,z'
'y+3/4,x+1/4,-z+3/4'
'-y+3/4,-x+1/4,z+3/4'
loop_
_atom_site_label
_atom_site_type_symbol
_atom_site_fract_x
_atom_site_fract_y
_atom_site_fract_z
_atom_site_occupancy
Sr1 Sr 0.000 0.250 0.375 1
Zn1 Zn 0.000 0.000 0.000 1
Zn2 Zn 0.000 0.250 0.875 1
Zn3 Zn 0.122 0.044 0.680 1
```



For Y2Pt2Se7, a GGA-PBE-relaxed structure gives the theoretical X-ray powder pattern in this record (Cu Kα).
Neutral-atom scattering factors, no anomalous dispersion.

Peak list (12 most intense, 2θ = 10–90°, by angle)
2θ (°), I (rel.), h k l
11.92, 16.8, 1 1 1
22.93, 25.9, 3 1 1
23.96, 80.1, 2 2 2
36.29, 11.9, 3 3 3
39.64, 100.0, 4 4 0
46.85, 40.0, 6 2 2
50.68, 7.6, 5 5 1
54.82, 15.8, 7 3 1
57.30, 14.4, 8 0 0
63.00, 16.5, 6 6 2
71.92, 21.9, 8 4 4
77.05, 12.3, 10 2 2

Structural model:
Lattice parameters (Å, degrees): 12.863 12.863 12.863 90.00 90.00 90.00
Space group Fd-3m (No. 227, origin choice 2)
Inequivalent atoms, fractional coordinates:
Y: 0.000 0.000 0.000 x16
Pt: 0.000 0.000 0.500 x16
Se: 0.088 0.375 0.875 x48
Se: 0.125 0.125 0.125 x8



What did the second record say?
For SrZn11, a GGA-PBE-relaxed structure gives the theoretical X-ray powder pattern in this record (Cu Kα).
Neutral-atom scattering factors, no anomalous dispersion.

Peak list (12 most intense, 2θ = 10–90°, by angle)
2θ (°), I (rel.), h k l
32.61, 35.7, 3 2 1
37.05, 99.3, 3 1 2
37.27, 81.2, 4 2 0
40.07, 36.4, 1 0 3
42.54, 23.7, 4 0 2
43.58, 32.5, 2 1 3
43.96, 100.0, 5 0 1
45.89, 46.7, 4 2 2
67.06, 31.4, 5 5 2
71.86, 13.1, 7 4 1
75.30, 13.2, 5 3 4
79.45, 17.5, 8 4 0

Structural model:
```
data_SrZn11
_chemical_formula_sum 'Sr4 Zn44'
_cell_length_a 10.790
_cell_length_b 10.790
_cell_length_c 6.903
_cell_angle_alpha 90.00
_cell_angle_beta 90.00
_cell_angle_gamma 90.00
_space_group_name_H-M_alt 'I 41/a m d'
_space_group_IT_number 141
loop_
_space_group_symop_operation_xyz
'x,y,z'
'-x,-y,-z'
'-y+1/4,x+3/4,z+1/4'
'y+1/4,-x+3/4,-z+1/4'
'-x+1/2,-y,z+1/2'
'x+1/2,y,-z+1/2'
'y+1/4,-x+1/4,z+3/4'
'-y+1/4,x+1/4,-z+3/4'
'x,-y,-z'
'-x,y,z'
'-y+1/4,-x+1/4,-z+3/4'
'y+1/4,x+1/4,z+3/4'
'-x+1/2,y,-z+1/2'
'x+1/2,-y,z+1/2'
'y+1/4,x+3/4,-z+1/4'
'-y+1/4,-x+3/4,z+1/4'
'x+1/2,y+1/2,z+1/2'
'-x+1/2,-y+1/2,-z+1/2'
'-y+3/4,x+1/4,z+3/4'
'y+3/4,-x+1/4,-z+3/4'
'-x,-y+1/2,z'
'x,y+1/2,-z'
'y+3/4,-x+3/4,z+1/4'
'-y+3/4,x+3/4,-z+1/4'
'x+1/2,-y+1/2,-z+1/2'
'-x+1/2,y+1/2,z+1/2'
'-y+3/4,-x+3/4,-z+1/4'
'y+3/4,x+3/4,z+1/4'
'-x,y+1/2,-z'
'x,-y+1/2,z'
'y+3/4,x+1/4,-z+3/4'
'-y+3/4,-x+1/4,z+3/4'
loop_
_atom_site_label
_atom_site_type_symbol
_atom_site_fract_x
_atom_site_fract_y
_atom_site_fract_z
_atom_site_occupancy
Sr1 Sr 0.000 0.250 0.375 1
Zn1 Zn 0.000 0.000 0.000 1
Zn2 Zn 0.000 0.250 0.875 1
Zn3 Zn 0.122 0.044 0.680 1
```



Q: Number 3 is which compound?
A: Y2Pt2Se7